# ErH2
Computed powder diffraction line list, copper Kα. Input: DFT lattice parameters and positions (GGA-PBE).
Kinematic intensities with the Lorentz-polarization factor, no thermal factor.

Structural model:
Cell: 3.6228 3.6228 3.6228 Å, 60.00 60.00 60.00°
Atoms (fractional coordinates):
Er  0.0000  0.0000  0.0000
H  0.2500  0.2500  0.2500
H  0.7500  0.7500  0.7500

Peak list (8 most intense, 10 to 90 degrees two-theta, by angle)
- 2θ 30.2, intensity 100
- 2θ 35.0, intensity 49
- 2θ 50.4, intensity 37
- 2θ 59.9, intensity 44
- 2θ 62.8, intensity 12
- 2θ 74.0, intensity 6
- 2θ 82.0, intensity 18
- 2θ 84.6, intensity 17